Structure and theoretical powder diffraction line list of FeSnP2O8 (a structure optimized by DFT (PBE+U); a wavelength of 1.5418 Å).

Atomic structure:
Cell lengths 4.9876, 6.0835, 10.1436 Å; angles 90.00, 90.13, 90.00 degrees
Sites, in units of the cell vectors:
1 Fe 0.0534 0.2500 0.2238
2 Fe 0.9466 0.7500 0.7762
3 Sn 0.4680 0.2500 0.7215
4 Sn 0.5320 0.7500 0.2785
5 P 0.0926 0.7500 0.0969
6 P 0.4195 0.7500 0.5952
7 P 0.5805 0.2500 0.4048
8 P 0.9074 0.2500 0.9031
9 O 0.1494 0.7500 0.9517
10 O 0.2138 0.2500 0.8779
11 O 0.2372 0.5547 0.1738
12 O 0.2372 0.9453 0.1738
13 O 0.2792 0.2500 0.3951
14 O 0.2814 0.5489 0.6680
15 O 0.2814 0.9511 0.6680
16 O 0.3206 0.7500 0.4494
17 O 0.6794 0.2500 0.5506
18 O 0.7186 0.0489 0.3320
19 O 0.7186 0.4511 0.3320
20 O 0.7208 0.7500 0.6049
21 O 0.7628 0.0547 0.8262
22 O 0.7628 0.4453 0.8262
23 O 0.7862 0.7500 0.1221
24 O 0.8506 0.2500 0.0483

Principal peaks in the range 2θ = 10–90°, most intense first:
d (Å)	Position (°2θ)	I_rel	hkl
3.605	24.69	100.0	1 1 -1
2.543	35.30	77.4	1 1 -3
5.072	17.49	67.0	0 0 2
3.042	29.36	55.7	0 2 0
4.476	19.84	49.3	1 0 1
5.217	16.99	23.6	0 1 1
1.803	50.64	23.1	2 2 -2
1.642	56.00	20.6	1 3 3
1.847	49.34	17.9	1 3 -1
1.584	58.25	17.1	0 3 4